Calculated XRD peak list
Compound: Sr5Fe3F19
Radiation: λ = 1.5418 Å (Cu Kα)
Structure: a DFT-relaxed cell (GGA+U, the Materials Project)

Principal peaks in the range 2θ = 10–90°, in order of rising 2θ:
- hkl 2 1 1, 20.37°, I 60
- hkl 1 -2 1, 24.51°, I 93
- hkl 2 -1 1, 25.29°, I 38
- hkl 2 2 0, 25.41°, I 35
- hkl 2 2 2, 25.79°, I 100
- hkl -1 1 2, 27.44°, I 79
- hkl 0 1 -3, 28.69°, I 53
- hkl 1 4 -1, 39.09°, I 31
- hkl 3 -2 1, 41.76°, I 40
- hkl 2 1 5, 42.55°, I 45

Atomic structure:
```
Sr5Fe3F19
1.0
8.856 0.000 0.000
2.759 9.417 0.000
4.157 -0.011 9.887
Sr Fe F
10 6 38
direct
0.000 0.000 0.000
0.028 0.341 0.292
0.268 0.496 0.831
0.409 0.105 0.632
0.439 0.502 0.438
0.469 0.912 0.234
0.558 0.810 0.857
0.718 0.407 0.027
0.760 0.210 0.702
0.924 0.815 0.482
0.213 0.859 0.665
0.307 0.663 0.148
0.378 0.174 0.995
0.737 0.153 0.322
0.861 0.683 0.220
0.979 0.477 0.667
0.000 0.804 0.230
0.010 0.921 0.626
0.110 0.792 0.853
0.111 0.555 0.499
0.142 0.555 0.164
0.145 0.046 0.743
0.168 0.317 0.027
0.211 0.361 0.658
0.265 0.740 0.327
0.268 0.661 0.625
0.295 0.860 0.099
0.296 0.046 0.918
0.298 0.149 0.195
0.334 0.942 0.488
0.372 0.632 0.951
0.424 0.486 0.212
0.427 0.833 0.692
0.446 0.232 0.801
0.494 0.234 0.422
0.498 0.311 0.990
0.538 0.413 0.620
0.564 0.673 0.067
0.567 0.007 0.983
0.617 0.697 0.318
0.667 0.982 0.675
0.697 0.970 0.392
0.698 0.142 0.161
0.735 0.357 0.291
0.755 0.443 0.776
0.794 0.836 0.108
0.831 0.155 0.460
0.831 0.677 0.686
0.855 0.193 0.894
0.871 0.595 0.387
0.885 0.529 0.118
0.972 0.509 0.847
0.977 0.119 0.202
0.985 0.330 0.548
```

---

Calculated XRD peak list
Compound: MgMn2O4
Radiation: λ = 1.5418 Å (Cu Kα)
Structure: a DFT-relaxed cell (GGA+U, the Materials Project)

Principal peaks in the range 2θ = 10–90°, in order of rising 2θ:
- hkl 0 1 0, 17.42°, I 100
- hkl 1 0 -1, 18.13°, I 90
- hkl 0 1 -2, 33.41°, I 30
- hkl 0 2 0, 35.26°, I 22
- hkl 2 0 -2, 36.73°, I 31
- hkl 0 0 2, 39.81°, I 84
- hkl 2 -2 0, 42.59°, I 70
- hkl 2 2 -2, 43.48°, I 66
- hkl 2 -2 2, 60.09°, I 21
- hkl 2 2 -4, 60.88°, I 38

Atomic structure:
```
MgMn2O4
1.0
5.817 0.000 0.000
-0.120 6.083 0.000
-2.846 -2.961 4.529
Mg Mn O
2 4 8
direct
0.000 0.000 0.000
0.000 0.500 0.500
0.000 0.000 0.500
0.500 0.000 0.000
0.500 0.000 0.500
0.500 0.500 0.000
0.230 0.192 0.930
0.240 0.217 0.489
0.246 0.789 0.504
0.247 0.758 0.965
0.753 0.242 0.035
0.754 0.211 0.496
0.760 0.783 0.511
0.770 0.808 0.070
```

---

Calculated XRD peak list
Compound: Li3MnPCO7
Radiation: λ = 1.5418 Å (Cu Kα)
Structure: a DFT-relaxed cell (GGA+U, the Materials Project)

Principal peaks in the range 2θ = 10–90°, in order of rising 2θ:
- hkl 0 0 1, 10.40°, I 100
- hkl 0 1 -1, 16.32°, I 15
- hkl 1 0 -1, 18.95°, I 30
- hkl 1 0 1, 20.73°, I 36
- hkl 1 -1 1, 23.56°, I 18
- hkl 1 0 -2, 25.61°, I 35
- hkl 0 2 0, 27.53°, I 75
- hkl 1 0 2, 28.28°, I 15
- hkl 0 2 -2, 33.02°, I 21
- hkl 2 0 -1, 34.72°, I 24

Atomic structure:
```
Li3MnPCO7
1.0
5.293 0.000 0.000
-0.429 6.515 0.000
-0.791 -0.881 8.503
Li Mn P C O
6 2 2 2 14
direct
0.000 0.000 0.000
0.096 0.517 0.006
0.297 0.174 0.631
0.467 0.784 0.877
0.667 0.443 0.501
0.763 0.960 0.507
0.198 0.720 0.398
0.565 0.241 0.109
0.096 0.227 0.340
0.667 0.734 0.167
0.085 0.739 0.708
0.679 0.222 0.799
0.072 0.748 0.859
0.105 0.040 0.441
0.192 0.172 0.177
0.274 0.403 0.436
0.309 0.770 0.658
0.455 0.191 0.849
0.489 0.557 0.070
0.571 0.789 0.330
0.658 0.921 0.066
0.691 0.212 0.647
0.817 0.289 0.322
0.878 0.258 0.900
0.887 0.703 0.607
0.946 0.672 0.185
```